Starting from the GGA+U geometry in Alexandria, the X-ray diffraction stick pattern of NaVH8N2F6 was calculated for Cu Kα (weighted mean of Kα1 and Kα2).
Peak positions follow from Bragg's law for the DFT cell and can differ from measured ones.

Largest 8 diffraction maxima, by angle, 2θ = 15–90°:
- 18.00 deg, d 4.928, intensity 43.1
- 20.81 deg, d 4.268, intensity 93.0
- 29.60 deg, d 3.018, intensity 62.1
- 36.46 deg, d 2.464, intensity 23.7
- 42.35 deg, d 2.134, intensity 100.0
- 47.64 deg, d 1.909, intensity 46.4
- 61.45 deg, d 1.509, intensity 51.2
- 65.62 deg, d 1.423, intensity 19.6

Crystal structure
a b c (Å): 6.036 6.036 6.036
angles (deg): 60.00 60.00 60.00
Sites, in units of the cell vectors:
Na: 0.000 0.000 0.000
V: 0.500 0.500 0.500
H: 0.181 0.181 0.181
H: 0.181 0.181 0.458
H: 0.181 0.458 0.181
H: 0.458 0.181 0.181
H: 0.542 0.819 0.819
H: 0.819 0.542 0.819
H: 0.819 0.819 0.542
H: 0.819 0.819 0.819
N: 0.250 0.250 0.250
N: 0.750 0.750 0.750
F: 0.266 0.266 0.734
F: 0.266 0.734 0.266
F: 0.266 0.734 0.734
F: 0.734 0.266 0.266
F: 0.734 0.266 0.734
F: 0.734 0.734 0.266